1.
For CdCuMo2, DFT lattice parameters and positions (GGA-PBE) gives the theoretical powder XRD pattern in this record (Cu Kα (λ = 1.5418 Å)).

Crystal structure
```
CdCuMo2
1.0
0.0000 3.1758 3.1758
3.1758 0.0000 3.1758
3.1758 3.1758 0.0000
Cd Cu Mo
1 1 2
Cartesian
0.0000 0.0000 0.0000 Cd
4.7637 4.7637 4.7637 Cu
1.5879 1.5879 1.5879 Mo
3.1758 3.1758 3.1758 Mo
```

Top 7 peaks for 2θ = 5–70°, low angle first:
d [Å], 2theta, Rel. int.
3.667, 24.3, 2
3.176, 28.1, 2
2.246, 40.2, 100
1.915, 47.5, 1
1.834, 49.7, 1
1.588, 58.1, 16
1.420, 65.7, 1

2.
For TlCdCuOs, DFT lattice parameters and positions (GGA-PBE) gives the theoretical powder XRD pattern in this record (Cu Kα (λ = 1.5418 Å)).

Crystal structure
```
TlCdCuOs
1.0
0.0000 3.2668 3.2668
3.2668 0.0000 3.2668
3.2668 3.2668 0.0000
Tl Cd Cu Os
1 1 1 1
Cartesian
0.0000 0.0000 0.0000 Tl
3.2668 3.2668 3.2668 Cd
1.6334 1.6334 1.6334 Cu
4.9002 4.9002 4.9002 Os
```

Top 7 peaks for 2θ = 5–70°, low angle first:
d [Å], 2theta, Rel. int.
3.772, 23.6, 15
3.267, 27.3, 1
2.310, 39.0, 100
1.970, 46.1, 8
1.633, 56.3, 17
1.499, 61.9, 4
1.461, 63.7, 1

3.
For Cd2CuP2S8, DFT lattice parameters and positions (GGA-PBE) gives the theoretical powder XRD pattern in this record (Cu Kα (λ = 1.5418 Å)).

Crystal structure
```
Cd2CuP2S8
1.0
5.8446 0.0000 0.0000
2.2395 6.3382 0.0000
0.6357 2.1606 7.7200
Cd Cu P S
2 1 2 8
Cartesian
1.7697 1.3989 1.1084 Cd
6.9501 7.0999 6.6116 Cd
4.3599 4.2494 3.8600 Cu
1.7365 2.7527 5.4453 P
6.9833 5.7460 2.2748 P
2.3867 4.4685 6.4099 S
3.1663 5.9514 2.7637 S
4.3066 7.5017 6.6926 S
2.7077 2.7051 3.6408 S
6.0122 5.7937 4.0792 S
4.4133 0.9971 1.0274 S
5.5535 2.5473 4.9563 S
6.3332 4.0302 1.3101 S
```

Top 10 peaks for 2θ = 5–70°, low angle first:
d [Å], 2theta, Rel. int.
4.972, 17.8, 41
4.636, 19.1, 46
4.518, 19.6, 36
3.751, 23.7, 100
3.555, 25.0, 54
3.139, 28.4, 42
2.786, 32.1, 47
2.755, 32.5, 34
2.318, 38.9, 47
2.132, 42.4, 38

4.
For CdCu2SnSe2S2, DFT lattice parameters and positions (GGA-PBE) gives the theoretical powder XRD pattern in this record (Cu Kα (λ = 1.5418 Å)).

Crystal structure
```
CdCu2SnSe2S2
1.0
6.3080 -2.8777 0.0000
6.3080 2.8777 0.0000
-2.5997 0.0000 5.1609
Cd Cu Sn Se S
1 2 1 2 2
Cartesian
0.0000 0.0000 0.0000 Cd
1.2752 0.0614 3.7278 Cu
8.7410 0.0614 1.4331 Cu
5.0081 0.1199 2.5804 Sn
4.2043 -1.3264 0.5822 Se
5.8120 -1.3264 4.5787 Se
2.9893 1.4745 3.1180 S
7.0269 1.4745 2.0429 S
```

Top 10 peaks for 2θ = 5–70°, low angle first:
d [Å], 2theta, Rel. int.
3.313, 26.9, 97
3.293, 27.1, 100
2.039, 44.4, 46
2.026, 44.7, 21
2.013, 45.0, 42
2.008, 45.2, 20
1.742, 52.5, 14
1.733, 52.8, 42
1.710, 53.6, 14
1.701, 53.9, 13